Entry 1:
# Fe4C23
Simulated X-ray powder pattern, Cu Kα (λ = 1.5418 Å). Input: a crystal structure in Alexandria, relaxed with PBE.
Neutral-atom scattering factors, no anomalous dispersion.

Largest 10 diffraction maxima, by angle, 10 to 80 degrees two-theta:
- 2θ = 25.63°, I = 18, hkl 2 0 0
- 2θ = 28.72°, I = 55, hkl 2 1 0
- 2θ = 31.53°, I = 50, hkl 2 1 1
- 2θ = 45.19°, I = 25, hkl 2 2 2
- 2θ = 47.14°, I = 51, hkl 3 2 0
- 2θ = 49.03°, I = 100, hkl 3 2 1
- 2θ = 52.67°, I = 27, hkl 4 0 0
- 2θ = 59.47°, I = 14, hkl 4 2 0
- 2θ = 61.09°, I = 13, hkl 4 2 1
- 2θ = 73.34°, I = 15, hkl 5 2 0

Atomic structure:
abc: 6.951 6.951 6.951
angles: 90.00 90.00 90.00
Space group Pm-3n (No. 223)
Symmetry-distinct sites (fractional):
Fe 0.000 0.000 0.000 [2 per cell]
Fe 0.000 0.250 0.500 [6 per cell]
C 0.000 0.305 0.123 [24 per cell]
C 0.000 0.500 0.250 [6 per cell]
C 0.185 0.185 0.185 [16 per cell]

=====

Entry 2:
# GdHIr
Simulated X-ray powder pattern, Cu Kα (λ = 1.5418 Å). Input: a crystal structure in Alexandria, relaxed with PBE.
Neutral-atom scattering factors, no anomalous dispersion.

Largest 10 diffraction maxima, by angle, 10 to 80 degrees two-theta:
- 2θ = 12.79°, I = 100, hkl 0 0 3
- 2θ = 29.77°, I = 61, hkl 1 0 4
- 2θ = 32.52°, I = 65, hkl 0 1 5
- 2θ = 39.02°, I = 48, hkl 0 0 9
- 2θ = 42.57°, I = 76, hkl 1 1 0
- 2θ = 44.62°, I = 29, hkl 1 1 3
- 2θ = 54.57°, I = 17, hkl 2 0 5
- 2θ = 59.12°, I = 38, hkl 1 1 9
- 2θ = 70.16°, I = 27, hkl 1 1 12
- 2θ = 71.56°, I = 14, hkl 1 2 5

Atomic structure:
abc: 4.2484 4.2484 20.7608
angles: 90.00 90.00 120.00
Space group R-3m (No. 166, hexagonal axes)
Symmetry-distinct sites (fractional):
Gd 0.0000 0.0000 0.0905 [6 per cell]
H 0.0000 0.0000 0.2024 [6 per cell]
Ir 0.0000 0.0000 0.3350 [6 per cell]

=====

Entry 3:
# La5Pm2NdTm
Simulated X-ray powder pattern, Cu Kα (λ = 1.5418 Å). Input: a crystal structure in Alexandria, relaxed with PBE.
Neutral-atom scattering factors, no anomalous dispersion.

Largest 10 diffraction maxima, by angle, 10 to 80 degrees two-theta:
- 2θ = 27.47°, I = 57, hkl 2 2 0
- 2θ = 27.89°, I = 49, hkl 2 1 3
- 2θ = 30.42°, I = 100, hkl 2 0 4
- 2θ = 30.79°, I = 12, hkl 3 1 0
- 2θ = 32.99°, I = 13, hkl 3 1 2
- 2θ = 35.74°, I = 20, hkl 3 2 1
- 2θ = 41.00°, I = 25, hkl 4 0 2
- 2θ = 47.55°, I = 11, hkl 0 0 8
- 2θ = 50.44°, I = 23, hkl 4 2 4
- 2θ = 55.79°, I = 12, hkl 2 2 8

Atomic structure:
abc: 9.184 9.184 15.298
angles: 90.00 90.00 90.00
Space group I4/mcm (No. 140)
Symmetry-distinct sites (fractional):
La 0.000 0.000 0.000 [4 per cell]
La 0.210 0.290 0.140 [16 per cell]
Pm 0.113 0.387 0.500 [8 per cell]
Nd 0.000 0.000 0.250 [4 per cell]
Tm 0.000 0.500 0.250 [4 per cell]

=====

Entry 4:
# Pm2NdErTh
Simulated X-ray powder pattern, Cu Kα (λ = 1.5418 Å). Input: a crystal structure in Alexandria, relaxed with PBE.
Neutral-atom scattering factors, no anomalous dispersion.

Largest 10 diffraction maxima, by angle, 10 to 80 degrees two-theta:
- 2θ = 20.76°, I = 50, hkl 2 0 0
- 2θ = 27.32°, I = 55, hkl 2 1 -1
- 2θ = 28.15°, I = 54, hkl 0 0 2
- 2θ = 29.62°, I = 100, hkl 1 2 0
- 2θ = 30.09°, I = 74, hkl 2 1 1
- 2θ = 31.41°, I = 84, hkl 3 0 0
- 2θ = 31.95°, I = 38, hkl 1 1 -2
- 2θ = 32.27°, I = 46, hkl 1 2 -1
- 2θ = 34.38°, I = 68, hkl 1 1 2
- 2θ = 42.11°, I = 44, hkl 3 1 -2

Atomic structure:
abc: 8.633 6.446 6.396
angles: 90.00 97.61 90.00
Space group P2/c (No. 13)
Symmetry-distinct sites (fractional):
Pm 0.185 0.191 0.293 [4 per cell]
Nd 0.500 0.500 0.000 [2 per cell]
Er 0.000 0.327 0.750 [2 per cell]
Th 0.500 0.048 0.750 [2 per cell]

=====

Entry 5:
# Zn8CuPd2
Simulated X-ray powder pattern, Cu Kα (λ = 1.5418 Å). Input: a crystal structure in Alexandria, relaxed with PBE.
Neutral-atom scattering factors, no anomalous dispersion.

Largest 10 diffraction maxima, by angle, 10 to 80 degrees two-theta:
- 2θ = 40.35°, I = 100, hkl 1 -2 0
- 2θ = 40.52°, I = 99, hkl 2 0 -1
- 2θ = 40.64°, I = 97, hkl 0 1 -3
- 2θ = 40.75°, I = 97, hkl 1 1 2
- 2θ = 45.31°, I = 71, hkl 1 2 -1
- 2θ = 47.50°, I = 61, hkl -1 1 3
- 2θ = 48.72°, I = 57, hkl 2 -1 2
- 2θ = 67.69°, I = 20, hkl 0 3 2
- 2θ = 67.77°, I = 20, hkl 2 1 -4
- 2θ = 68.51°, I = 20, hkl 1 -3 3

Atomic structure:
abc: 4.657 4.831 7.116
angles: 96.76 91.96 97.13
Space group P-1 (No. 2)
Symmetry-distinct sites (fractional):
Zn 0.043 0.265 0.089 [2 per cell]
Zn 0.225 0.359 0.453 [2 per cell]
Zn 0.327 0.915 0.644 [2 per cell]
Zn 0.412 0.453 0.823 [2 per cell]
Cu 0.500 0.000 0.000 [1 per cell]
Pd 0.132 0.815 0.278 [2 per cell]

=====

Entry 6:
# Pm2CI3
Simulated X-ray powder pattern, Cu Kα (λ = 1.5418 Å). Input: a crystal structure in Alexandria, relaxed with PBE.
Neutral-atom scattering factors, no anomalous dispersion.

Largest 10 diffraction maxima, by angle, 10 to 80 degrees two-theta:
- 2θ = 15.99°, I = 16, hkl 2 0 -2
- 2θ = 19.44°, I = 13, hkl 4 0 0
- 2θ = 25.99°, I = 14, hkl 4 0 -3
- 2θ = 28.27°, I = 100, hkl 1 1 2
- 2θ = 28.85°, I = 35, hkl 6 0 -2
- 2θ = 31.86°, I = 13, hkl 5 1 -1
- 2θ = 36.67°, I = 18, hkl 2 0 4
- 2θ = 40.74°, I = 24, hkl 5 1 -4
- 2θ = 40.93°, I = 23, hkl 7 1 0
- 2θ = 43.89°, I = 16, hkl 0 2 0

Atomic structure:
abc: 19.173 4.126 11.630
angles: 90.00 107.73 90.00
Space group C2/m (No. 12)
Symmetry-distinct sites (fractional):
Pm 0.063 0.000 0.192 [4 per cell]
Pm 0.114 0.500 0.943 [4 per cell]
C 0.020 0.500 0.058 [4 per cell]
I 0.078 0.000 0.725 [4 per cell]
I 0.135 0.500 0.396 [4 per cell]
I 0.217 0.000 0.132 [4 per cell]

=====

Entry 7:
# Er4TmBi5
Simulated X-ray powder pattern, Cu Kα (λ = 1.5418 Å). Input: a crystal structure in Alexandria, relaxed with PBE.
Neutral-atom scattering factors, no anomalous dispersion.

Largest 10 diffraction maxima, by angle, 10 to 80 degrees two-theta:
- 2θ = 24.56°, I = 2, hkl 1 1 0
- 2θ = 28.43°, I = 100, hkl 1 0 5
- 2θ = 40.64°, I = 78, hkl 2 0 0
- 2θ = 48.06°, I = 1, hkl 2 1 5
- 2θ = 50.34°, I = 28, hkl 2 2 0
- 2θ = 58.83°, I = 13, hkl 2 0 10
- 2θ = 64.72°, I = 1, hkl 3 1 0
- 2θ = 66.61°, I = 37, hkl 3 0 5
- 2θ = 73.96°, I = 28, hkl 3 2 5
- 2θ = 79.29°, I = 1, hkl 3 3 0

Atomic structure:
abc: 4.441 6.277 22.196
angles: 90.00 90.00 90.00
Space group Immm (No. 71)
Symmetry-distinct sites (fractional):
Er 0.000 0.000 0.100 [4 per cell]
Er 0.000 0.000 0.300 [4 per cell]
Tm 0.000 0.000 0.500 [2 per cell]
Bi 0.000 0.500 0.100 [4 per cell]
Bi 0.000 0.500 0.300 [4 per cell]
Bi 0.000 0.500 0.500 [2 per cell]

=====

Entry 8:
# Ca3NF3
Simulated X-ray powder pattern, Cu Kα (λ = 1.5418 Å). Input: a crystal structure in Alexandria, relaxed with PBE.
Neutral-atom scattering factors, no anomalous dispersion.

Largest 10 diffraction maxima, by angle, 10 to 80 degrees two-theta:
- 2θ = 18.38°, I = 23, hkl 1 0 0
- 2θ = 26.11°, I = 32, hkl 1 1 0
- 2θ = 32.12°, I = 14, hkl 1 1 1
- 2θ = 37.26°, I = 100, hkl 2 0 0
- 2θ = 41.86°, I = 9, hkl 2 1 0
- 2θ = 46.07°, I = 12, hkl 2 1 1
- 2θ = 53.72°, I = 59, hkl 2 2 0
- 2θ = 63.98°, I = 7, hkl 3 1 1
- 2θ = 67.19°, I = 18, hkl 2 2 2
- 2θ = 79.43°, I = 8, hkl 4 0 0

Atomic structure:
abc: 4.826 4.826 4.826
angles: 90.00 90.00 90.00
Space group Pm-3m (No. 221)
Symmetry-distinct sites (fractional):
Ca 0.000 0.000 0.500 [3 per cell]
N 0.000 0.000 0.000 [1 per cell]
F 0.000 0.500 0.500 [3 per cell]

=====

Entry 9:
# SrYReO6
Simulated X-ray powder pattern, Cu Kα (λ = 1.5418 Å). Input: a crystal structure in Alexandria, relaxed with PBE.
Neutral-atom scattering factors, no anomalous dispersion.

Largest 10 diffraction maxima, by angle, 10 to 80 degrees two-theta:
- 2θ = 16.95°, I = 33, hkl 0 0 1
- 2θ = 18.36°, I = 23, hkl 1 0 0
- 2θ = 25.09°, I = 100, hkl 1 0 1
- 2θ = 32.09°, I = 45, hkl 1 1 0
- 2θ = 36.51°, I = 23, hkl 2 -1 1
- 2θ = 41.16°, I = 24, hkl 2 0 1
- 2θ = 47.67°, I = 47, hkl 2 -1 2
- 2θ = 53.12°, I = 25, hkl 3 -1 1
- 2θ = 57.20°, I = 15, hkl 3 0 0
- 2θ = 77.57°, I = 10, hkl 2 2 2

Atomic structure:
abc: 5.5792 5.5792 5.2299
angles: 90.00 90.00 120.00
Space group P312 (No. 149)
Symmetry-distinct sites (fractional):
Sr 0.0000 0.0000 0.0000 [1 per cell]
Y 0.3333 0.6667 0.5000 [1 per cell]
Re 0.6667 0.3333 0.5000 [1 per cell]
O 0.3918 0.0462 0.7073 [6 per cell]